[1]
Diffraction record for Rb3Cu2Cl7. The PXRD pattern is calculated, not measured: it uses a crystal structure in Alexandria, relaxed with PBE and Cu Kα X-rays.
Lines closer than 0.1° are merged.

Cell and atoms:
a b c (Å): 13.0772 13.0772 7.3487
angles (deg): 90.00 90.00 147.35
Atoms (fractional coordinates):
Rb 0.0714 0.9286 0.7500
Rb 0.2500 0.7500 0.7500
Rb 0.4286 0.5714 0.7500
Rb 0.5714 0.4286 0.2500
Rb 0.7500 0.2500 0.2500
Rb 0.9286 0.0714 0.2500
Cu 0.1551 0.8449 0.2500
Cu 0.3449 0.6551 0.2500
Cu 0.6551 0.3449 0.7500
Cu 0.8449 0.1551 0.7500
Cl 0.0565 0.3729 0.5352
Cl 0.0606 0.9394 0.2500
Cl 0.1271 0.4435 0.0352
Cl 0.2500 0.7500 0.2500
Cl 0.3729 0.0565 0.0352
Cl 0.4394 0.5606 0.2500
Cl 0.4435 0.1271 0.5352
Cl 0.5565 0.8729 0.4648
Cl 0.5606 0.4394 0.7500
Cl 0.6271 0.9435 0.9648
Cl 0.7500 0.2500 0.7500
Cl 0.8729 0.5565 0.9648
Cl 0.9394 0.0606 0.7500
Cl 0.9435 0.6271 0.4648

Largest 10 diffraction maxima, in order of falling intensity, 10° ≤ 2θ ≤ 80°:
| d_spacing | 2theta | Rel. int. |
| --- | --- | --- |
| 2.599 | 34.51 | 100 |
| 3.675 | 24.22 | 92 |
| 3.611 | 24.66 | 83 |
| 2.761 | 32.43 | 64 |
| 2.109 | 42.88 | 32 |
| 1.805 | 50.56 | 32 |
| 1.838 | 49.61 | 30 |
| 2.510 | 35.77 | 26 |
| 1.644 | 55.95 | 22 |
| 1.629 | 56.48 | 19 |



[2]
Diffraction record for RbCuCl3. The PXRD pattern is calculated, not measured: it uses a crystal structure in Alexandria, relaxed with PBE and Cu Kα X-rays.
Lines closer than 0.1° are merged.

Cell and atoms:
a b c (Å): 7.1549 11.8682 6.5913
angles (deg): 90.00 90.00 90.00
Atoms (fractional coordinates):
Rb 0.0000 0.1580 0.2500
Rb 0.0000 0.8420 0.7500
Rb 0.5000 0.3420 0.7500
Rb 0.5000 0.6580 0.2500
Cu 0.0000 0.5000 0.0000
Cu 0.0000 0.5000 0.5000
Cu 0.5000 0.0000 0.0000
Cu 0.5000 0.0000 0.5000
Cl 0.0000 0.3595 0.7500
Cl 0.0000 0.6405 0.2500
Cl 0.2406 0.4111 0.1630
Cl 0.2406 0.5889 0.6630
Cl 0.2594 0.0889 0.6630
Cl 0.2594 0.9111 0.1630
Cl 0.5000 0.1405 0.2500
Cl 0.5000 0.8595 0.7500
Cl 0.7406 0.0889 0.8370
Cl 0.7406 0.9111 0.3370
Cl 0.7594 0.4111 0.3370
Cl 0.7594 0.5889 0.8370

Largest 10 diffraction maxima, in order of falling intensity, 10° ≤ 2θ ≤ 80°:
| d_spacing | 2theta | Rel. int. |
| --- | --- | --- |
| 2.778 | 32.22 | 100 |
| 3.462 | 25.73 | 46 |
| 2.902 | 30.81 | 33 |
| 2.205 | 40.93 | 31 |
| 6.128 | 14.46 | 31 |
| 2.244 | 40.19 | 29 |
| 2.706 | 33.11 | 26 |
| 3.577 | 24.89 | 24 |
| 4.488 | 19.78 | 24 |
| 1.731 | 52.89 | 22 |



[3]
Diffraction record for RbCu4Cl8. The PXRD pattern is calculated, not measured: it uses a crystal structure in Alexandria, relaxed with PBE and Cu Kα X-rays.
Lines closer than 0.1° are merged.

Cell and atoms:
a b c (Å): 8.9593 8.9593 8.9593
angles (deg): 47.23 47.23 47.23
Atoms (fractional coordinates):
Rb 0.0000 0.0000 0.0000
Cu 0.0000 0.0000 0.5000
Cu 0.0000 0.5000 0.0000
Cu 0.5000 0.0000 0.0000
Cu 0.5000 0.5000 0.5000
Cl 0.2208 0.2208 0.2208
Cl 0.2266 0.7225 0.7225
Cl 0.2775 0.2775 0.7734
Cl 0.2775 0.7734 0.2775
Cl 0.7225 0.2266 0.7225
Cl 0.7225 0.7225 0.2266
Cl 0.7734 0.2775 0.2775
Cl 0.7792 0.7792 0.7792

Largest 10 diffraction maxima, in order of falling intensity, 10° ≤ 2θ ≤ 80°:
| d_spacing | 2theta | Rel. int. |
| --- | --- | --- |
| 7.943 | 11.14 | 100 |
| 2.756 | 32.49 | 70 |
| 2.295 | 39.25 | 24 |
| 1.794 | 50.89 | 22 |
| 2.151 | 42.01 | 17 |
| 1.777 | 51.42 | 10 |
| 1.891 | 48.12 | 10 |
| 1.750 | 52.27 | 10 |
| 6.015 | 14.73 | 10 |
| 1.504 | 61.69 | 9 |



[4]
Diffraction record for Rb2CuCl7. The PXRD pattern is calculated, not measured: it uses a crystal structure in Alexandria, relaxed with PBE and Cu Kα X-rays.
Lines closer than 0.1° are merged.

Cell and atoms:
a b c (Å): 7.4972 7.4972 7.4972
angles (deg): 119.97 119.97 90.05
Atoms (fractional coordinates):
Rb 0.2500 0.7500 0.5000
Rb 0.7500 0.2500 0.5000
Cu 0.0000 0.0000 0.0000
Cl 0.2069 0.2069 0.4138
Cl 0.2069 0.7931 0.0000
Cl 0.2832 0.2832 0.0000
Cl 0.5000 0.5000 0.0000
Cl 0.7168 0.7168 0.0000
Cl 0.7931 0.2069 0.0000
Cl 0.7931 0.7931 0.5862

Largest 10 diffraction maxima, in order of falling intensity, 10° ≤ 2θ ≤ 80°:
| d_spacing | 2theta | Rel. int. |
| --- | --- | --- |
| 3.749 | 23.73 | 100 |
| 2.651 | 33.81 | 84 |
| 3.061 | 29.17 | 53 |
| 1.875 | 48.57 | 48 |
| 2.165 | 41.73 | 33 |
| 1.677 | 54.75 | 30 |
| 1.417 | 65.92 | 27 |
| 1.531 | 60.49 | 14 |
| 6.122 | 14.47 | 13 |
| 3.196 | 27.92 | 12 |